1.
Starting from the PBE geometry in Alexandria, the PXRD pattern of Cd2CuSeI was simulated for Cu Kα, 1.54184 Å.
Peak positions follow from Bragg's law for the DFT cell and can differ from measured ones.

Atomic structure:
a b c (Å): 5.7182 5.7182 4.5713
angles (deg): 90.00 90.00 90.00
Positions (direct):
Cd  0.0000  0.5000  0.0000
Cd  0.5000  0.0000  0.0000
Cu  0.0000  0.0000  0.5000
Se  0.0000  0.0000  0.0000
I  0.5000  0.5000  0.5000

Most intense lines, 5° ≤ 2θ ≤ 70°, by angle:
d = 3.571 Å, 2θ = 24.9°, rel. 24
d = 3.029 Å, 2θ = 29.5°, rel. 100
d = 2.859 Å, 2θ = 31.3°, rel. 92
d = 2.286 Å, 2θ = 39.4°, rel. 24
d = 2.232 Å, 2θ = 40.4°, rel. 13
d = 2.022 Å, 2θ = 44.8°, rel. 33
d = 1.785 Å, 2θ = 51.2°, rel. 44
d = 1.681 Å, 2θ = 54.6°, rel. 34
d = 1.514 Å, 2θ = 61.2°, rel. 25
d = 1.430 Å, 2θ = 65.3°, rel. 10


2.
Starting from the PBE geometry in Alexandria, the PXRD pattern of Mg2PaCoN4 was simulated for Cu Kα, 1.54184 Å.
Peak positions follow from Bragg's law for the DFT cell and can differ from measured ones.

Atomic structure:
a b c (Å): 5.6634 5.6634 10.4208
angles (deg): 90.00 90.00 146.59
Positions (direct):
Mg  0.1213  0.8787  0.5440
Mg  0.1213  0.8787  0.9560
Mg  0.8787  0.1213  0.0440
Mg  0.8787  0.1213  0.4560
Pa  0.4052  0.5948  0.7500
Pa  0.5948  0.4052  0.2500
Co  0.3325  0.6675  0.2500
Co  0.6675  0.3325  0.7500
N  0.0686  0.9314  0.7500
N  0.2111  0.7889  0.1324
N  0.2111  0.7889  0.3676
N  0.5000  0.5000  0.0000
N  0.5000  0.5000  0.5000
N  0.7889  0.2111  0.6324
N  0.7889  0.2111  0.8676
N  0.9314  0.0686  0.2500

Most intense lines, 5° ≤ 2θ ≤ 70°, by angle:
d = 5.210 Å, 2θ = 17.0°, rel. 100
d = 4.812 Å, 2θ = 18.4°, rel. 52
d = 3.119 Å, 2θ = 28.6°, rel. 29
d = 2.925 Å, 2θ = 30.6°, rel. 25
d = 2.676 Å, 2θ = 33.5°, rel. 64
d = 2.605 Å, 2θ = 34.4°, rel. 29
d = 2.357 Å, 2θ = 38.2°, rel. 61
d = 1.999 Å, 2θ = 45.4°, rel. 24
d = 1.986 Å, 2θ = 45.7°, rel. 21
d = 1.706 Å, 2θ = 53.7°, rel. 23


3.
Starting from the PBE geometry in Alexandria, the PXRD pattern of ErMn3Ge2 was simulated for Cu Kα, 1.54184 Å.
Peak positions follow from Bragg's law for the DFT cell and can differ from measured ones.

Atomic structure:
a b c (Å): 7.5387 7.5387 7.2861
angles (deg): 114.76 114.76 30.18
Positions (direct):
Er  0.1431  0.1431  0.0609
Er  0.8569  0.8569  0.9391
Mn  0.0463  0.0463  0.3988
Mn  0.3048  0.3048  0.5227
Mn  0.4167  0.4167  0.3717
Mn  0.5833  0.5833  0.6283
Mn  0.6952  0.6952  0.4773
Mn  0.9537  0.9537  0.6012
Ge  0.2013  0.2013  0.7182
Ge  0.4782  0.4782  0.8124
Ge  0.5218  0.5218  0.1876
Ge  0.7987  0.7987  0.2818

Most intense lines, 5° ≤ 2θ ≤ 70°, by angle:
d = 3.083 Å, 2θ = 29.0°, rel. 31
d = 2.921 Å, 2θ = 30.6°, rel. 53
d = 2.641 Å, 2θ = 33.9°, rel. 38
d = 2.528 Å, 2θ = 35.5°, rel. 38
d = 2.421 Å, 2θ = 37.1°, rel. 100
d = 2.351 Å, 2θ = 38.3°, rel. 30
d = 2.223 Å, 2θ = 40.6°, rel. 74
d = 2.003 Å, 2θ = 45.3°, rel. 48
d = 1.962 Å, 2θ = 46.3°, rel. 53
d = 1.783 Å, 2θ = 51.2°, rel. 32


4.
Starting from the PBE geometry in Alexandria, the PXRD pattern of Sr6LiBr12 was simulated for Cu Kα, 1.54184 Å.
Peak positions follow from Bragg's law for the DFT cell and can differ from measured ones.

Atomic structure:
a b c (Å): 8.9115 8.9115 8.9115
angles (deg): 99.72 99.72 99.72
Positions (direct):
Sr  0.1304  0.6236  0.2890
Sr  0.2890  0.1304  0.6236
Sr  0.3764  0.7110  0.8696
Sr  0.6236  0.2890  0.1304
Sr  0.7110  0.8696  0.3764
Sr  0.8696  0.3764  0.7110
Li  0.0000  0.0000  0.0000
Br  0.0407  0.6891  0.9320
Br  0.0680  0.9593  0.3109
Br  0.1771  0.4334  0.5823
Br  0.3109  0.0680  0.9593
Br  0.4177  0.8229  0.5666
Br  0.4334  0.5823  0.1771
Br  0.5666  0.4177  0.8229
Br  0.5823  0.1771  0.4334
Br  0.6891  0.9320  0.0407
Br  0.8229  0.5666  0.4177
Br  0.9320  0.0407  0.6891
Br  0.9593  0.3109  0.0680

Most intense lines, 5° ≤ 2θ ≤ 70°, by angle:
d = 6.813 Å, 2θ = 13.0°, rel. 23
d = 4.200 Å, 2θ = 21.2°, rel. 81
d = 3.636 Å, 2θ = 24.5°, rel. 32
d = 3.167 Å, 2θ = 28.2°, rel. 20
d = 3.035 Å, 2θ = 29.4°, rel. 36
d = 2.902 Å, 2θ = 30.8°, rel. 54
d = 2.575 Å, 2θ = 34.8°, rel. 100
d = 2.568 Å, 2θ = 34.9°, rel. 100
d = 2.194 Å, 2θ = 41.1°, rel. 23
d = 1.818 Å, 2θ = 50.2°, rel. 25


5.
Starting from the PBE geometry in Alexandria, the PXRD pattern of Li2Tm3Cd4 was simulated for Cu Kα, 1.54184 Å.
Peak positions follow from Bragg's law for the DFT cell and can differ from measured ones.

Atomic structure:
a b c (Å): 5.9130 5.9130 9.2066
angles (deg): 119.07 119.07 49.50
Positions (direct):
Li  0.1144  0.1144  0.2828
Li  0.8856  0.8856  0.7172
Tm  0.1656  0.1656  0.6679
Tm  0.5000  0.5000  0.0000
Tm  0.8344  0.8344  0.3321
Cd  0.2164  0.2164  0.0593
Cd  0.4363  0.4363  0.6095
Cd  0.5637  0.5637  0.3905
Cd  0.7836  0.7836  0.9407

Most intense lines, 5° ≤ 2θ ≤ 70°, by angle:
d = 4.295 Å, 2θ = 20.7°, rel. 31
d = 2.589 Å, 2θ = 34.6°, rel. 66
d = 2.581 Å, 2θ = 34.8°, rel. 64
d = 2.479 Å, 2θ = 36.2°, rel. 100
d = 1.790 Å, 2θ = 51.0°, rel. 14
d = 1.787 Å, 2θ = 51.1°, rel. 21
d = 1.619 Å, 2θ = 56.9°, rel. 10
d = 1.454 Å, 2θ = 64.0°, rel. 14
d = 1.449 Å, 2θ = 64.3°, rel. 28
d = 1.430 Å, 2θ = 65.2°, rel. 12


6.
Starting from the PBE geometry in Alexandria, the PXRD pattern of ZnIn2S4 was simulated for Cu Kα, 1.54184 Å.
Peak positions follow from Bragg's law for the DFT cell and can differ from measured ones.

Atomic structure:
a b c (Å): 6.7685 3.9142 13.0713
angles (deg): 90.00 99.64 90.00
Positions (direct):
Zn  0.2408  0.0000  0.2060
Zn  0.7592  0.0000  0.7940
In  0.0000  0.0000  0.5000
In  0.2735  0.5000  0.8075
In  0.5000  0.5000  0.5000
In  0.7265  0.5000  0.1925
S  0.1042  0.0000  0.8704
S  0.2008  0.5000  0.6083
S  0.2970  0.0000  0.3925
S  0.3620  0.5000  0.1384
S  0.6380  0.5000  0.8616
S  0.7030  0.0000  0.6075
S  0.7992  0.5000  0.3917
S  0.8958  0.0000  0.1296

Most intense lines, 5° ≤ 2θ ≤ 70°, by angle:
d = 12.887 Å, 2θ = 6.9°, rel. 50
d = 4.295 Å, 2θ = 20.7°, rel. 100
d = 3.374 Å, 2θ = 26.4°, rel. 50
d = 3.200 Å, 2θ = 27.9°, rel. 62
d = 3.189 Å, 2θ = 28.0°, rel. 32
d = 2.774 Å, 2θ = 32.3°, rel. 69
d = 2.238 Å, 2θ = 40.3°, rel. 32
d = 1.955 Å, 2θ = 46.4°, rel. 70
d = 1.886 Å, 2θ = 48.3°, rel. 38
d = 1.782 Å, 2θ = 51.3°, rel. 33


7.
Starting from the PBE geometry in Alexandria, the PXRD pattern of K2TlH6Pt was simulated for Cu Kα, 1.54184 Å.
Peak positions follow from Bragg's law for the DFT cell and can differ from measured ones.

Atomic structure:
a b c (Å): 5.4874 5.4874 7.1159
angles (deg): 90.00 90.00 120.00
Positions (direct):
K  0.3333  0.6667  0.3185
K  0.6667  0.3333  0.6815
Tl  0.0000  0.0000  0.0000
H  0.1420  0.2841  0.6363
H  0.1420  0.8580  0.6363
H  0.2841  0.1420  0.3637
H  0.7159  0.8580  0.6363
H  0.8580  0.1420  0.3637
H  0.8580  0.7159  0.3637
Pt  0.0000  0.0000  0.5000

Most intense lines, 5° ≤ 2θ ≤ 70°, by angle:
d = 4.752 Å, 2θ = 18.7°, rel. 100
d = 3.558 Å, 2θ = 25.0°, rel. 15
d = 2.848 Å, 2θ = 31.4°, rel. 81
d = 2.744 Å, 2θ = 32.6°, rel. 46
d = 2.376 Å, 2θ = 37.9°, rel. 17
d = 2.173 Å, 2θ = 41.6°, rel. 25
d = 1.976 Å, 2θ = 45.9°, rel. 29
d = 1.796 Å, 2θ = 50.8°, rel. 16
d = 1.666 Å, 2θ = 55.1°, rel. 15
d = 1.603 Å, 2θ = 57.5°, rel. 29


8.
Starting from the PBE geometry in Alexandria, the PXRD pattern of TaTlW was simulated for Cu Kα, 1.54184 Å.
Peak positions follow from Bragg's law for the DFT cell and can differ from measured ones.

Atomic structure:
a b c (Å): 5.1534 5.1534 5.1534
angles (deg): 147.90 128.74 61.77
Positions (direct):
Ta  0.0000  0.0000  0.0000
Tl  0.6688  0.6688  0.0000
W  0.3353  0.3353  0.0000

Most intense lines, 5° ≤ 2θ ≤ 70°, by angle:
d = 2.459 Å, 2θ = 36.5°, rel. 100
d = 2.401 Å, 2θ = 37.5°, rel. 94
d = 2.229 Å, 2θ = 40.5°, rel. 38
d = 2.049 Å, 2θ = 44.2°, rel. 59
d = 1.508 Å, 2θ = 61.5°, rel. 45
d = 1.474 Å, 2θ = 63.1°, rel. 10
d = 1.425 Å, 2θ = 65.5°, rel. 9


9.
Starting from the PBE geometry in Alexandria, the PXRD pattern of Cs9Rb3O2 was simulated for Cu Kα, 1.54184 Å.
Peak positions follow from Bragg's law for the DFT cell and can differ from measured ones.

Atomic structure:
a b c (Å): 13.0107 13.0107 13.0107
angles (deg): 85.63 85.63 85.63
Positions (direct):
Cs  0.0330  0.7573  0.9009
Cs  0.0991  0.9670  0.2427
Cs  0.1241  0.2500  0.3759
Cs  0.2427  0.0991  0.9670
Cs  0.2500  0.3759  0.1241
Cs  0.2573  0.5330  0.4009
Cs  0.3759  0.1241  0.2500
Cs  0.4009  0.2573  0.5330
Cs  0.4670  0.5991  0.7427
Cs  0.5330  0.4009  0.2573
Cs  0.5991  0.7427  0.4670
Cs  0.6241  0.8759  0.7500
Cs  0.7427  0.4670  0.5991
Cs  0.7500  0.6241  0.8759
Cs  0.7573  0.9009  0.0330
Cs  0.8759  0.7500  0.6241
Cs  0.9009  0.0330  0.7573
Cs  0.9670  0.2427  0.0991
Rb  0.0947  0.4053  0.7500
Rb  0.2500  0.9053  0.5947
Rb  0.4053  0.7500  0.0947
Rb  0.5947  0.2500  0.9053
Rb  0.7500  0.0947  0.4053
Rb  0.9053  0.5947  0.2500
O  0.1662  0.1662  0.1662
O  0.3338  0.3338  0.3338
O  0.6662  0.6662  0.6662
O  0.8338  0.8338  0.8338

Most intense lines, 5° ≤ 2θ ≤ 70°, by angle:
d = 8.843 Å, 2θ = 10.0°, rel. 44
d = 4.421 Å, 2θ = 20.1°, rel. 20
d = 4.032 Å, 2θ = 22.0°, rel. 24
d = 3.877 Å, 2θ = 22.9°, rel. 100
d = 2.979 Å, 2θ = 30.0°, rel. 14
d = 2.768 Å, 2θ = 32.3°, rel. 23
d = 2.573 Å, 2θ = 34.9°, rel. 11
d = 2.553 Å, 2θ = 35.2°, rel. 13
d = 2.296 Å, 2θ = 39.2°, rel. 15
d = 1.812 Å, 2θ = 50.4°, rel. 12


10.
Starting from the PBE geometry in Alexandria, the PXRD pattern of Zn3Cd was simulated for Cu Kα, 1.54184 Å.
Peak positions follow from Bragg's law for the DFT cell and can differ from measured ones.

Atomic structure:
a b c (Å): 4.0686 4.0686 4.9100
angles (deg): 111.62 111.62 91.60
Positions (direct):
Zn  0.0000  0.0000  0.0000
Zn  0.2442  0.7558  0.5000
Zn  0.7558  0.2442  0.5000
Cd  0.5000  0.5000  0.0000

Most intense lines, 5° ≤ 2θ ≤ 70°, by angle:
d = 3.594 Å, 2θ = 24.8°, rel. 7
d = 2.408 Å, 2θ = 37.3°, rel. 51
d = 2.390 Å, 2θ = 37.6°, rel. 100
d = 2.282 Å, 2θ = 39.5°, rel. 44
d = 2.084 Å, 2θ = 43.4°, rel. 33
d = 2.032 Å, 2θ = 44.6°, rel. 61
d = 1.486 Å, 2θ = 62.5°, rel. 21
d = 1.458 Å, 2θ = 63.8°, rel. 10
d = 1.426 Å, 2θ = 65.5°, rel. 18
d = 1.416 Å, 2θ = 66.0°, rel. 9


11.
Starting from the PBE geometry in Alexandria, the PXRD pattern of Er8SbC4 was simulated for Cu Kα, 1.54184 Å.
Peak positions follow from Bragg's law for the DFT cell and can differ from measured ones.

Atomic structure:
a b c (Å): 8.7577 8.7577 11.7404
angles (deg): 129.97 129.97 23.75
Positions (direct):
Er  0.0419  0.0419  0.2355
Er  0.2969  0.2969  0.4327
Er  0.3364  0.3364  0.1620
Er  0.3678  0.3678  0.9114
Er  0.6322  0.6322  0.0886
Er  0.6636  0.6636  0.8380
Er  0.7031  0.7031  0.5673
Er  0.9581  0.9581  0.7645
Sb  0.0000  0.0000  0.5000
C  0.1476  0.1476  0.9587
C  0.3331  0.3331  0.6707
C  0.6669  0.6669  0.3293
C  0.8524  0.8524  0.0413

Most intense lines, 5° ≤ 2θ ≤ 70°, by angle:
d = 3.055 Å, 2θ = 29.2°, rel. 29
d = 2.843 Å, 2θ = 31.5°, rel. 70
d = 2.765 Å, 2θ = 32.4°, rel. 100
d = 2.710 Å, 2θ = 33.1°, rel. 43
d = 2.650 Å, 2θ = 33.8°, rel. 94
d = 2.546 Å, 2θ = 35.3°, rel. 40
d = 1.733 Å, 2θ = 52.8°, rel. 38
d = 1.652 Å, 2θ = 55.6°, rel. 27
d = 1.522 Å, 2θ = 60.9°, rel. 22
d = 1.470 Å, 2θ = 63.3°, rel. 35


12.
Starting from the PBE geometry in Alexandria, the PXRD pattern of CeNp2PN5 was simulated for Cu Kα, 1.54184 Å.
Peak positions follow from Bragg's law for the DFT cell and can differ from measured ones.

Atomic structure:
a b c (Å): 6.4309 6.4309 5.4643
angles (deg): 90.00 90.00 90.00
Positions (direct):
Ce  0.0000  0.0000  0.0000
Ce  0.5000  0.5000  0.0000
Np  0.1783  0.3217  0.5000
Np  0.3217  0.8217  0.5000
Np  0.6783  0.1783  0.5000
Np  0.8217  0.6783  0.5000
P  0.0000  0.5000  0.0000
P  0.5000  0.0000  0.0000
N  0.0000  0.0000  0.5000
N  0.1384  0.6384  0.2291
N  0.1384  0.6384  0.7709
N  0.3616  0.1384  0.2291
N  0.3616  0.1384  0.7709
N  0.5000  0.5000  0.5000
N  0.6384  0.8616  0.2291
N  0.6384  0.8616  0.7709
N  0.8616  0.3616  0.2291
N  0.8616  0.3616  0.7709

Most intense lines, 5° ≤ 2θ ≤ 70°, by angle:
d = 5.464 Å, 2θ = 16.2°, rel. 56
d = 3.495 Å, 2θ = 25.5°, rel. 29
d = 2.876 Å, 2θ = 31.1°, rel. 45
d = 2.771 Å, 2θ = 32.3°, rel. 100
d = 2.732 Å, 2θ = 32.8°, rel. 43
d = 2.545 Å, 2θ = 35.3°, rel. 89
d = 2.034 Å, 2θ = 44.6°, rel. 25
d = 1.981 Å, 2θ = 45.8°, rel. 52
d = 1.500 Å, 2θ = 61.9°, rel. 27
d = 1.461 Å, 2θ = 63.7°, rel. 22